No. 1
Structure and simulated XRD peak list of Na2ThAs2O8 (the PBE geometry in the Materials Project; λ = 1.5418 Å (Cu Kα)).

a = 7.163 Å, b = 12.441 Å, c = 18.505 Å
α = 90.00°, β = 90.00°, γ = 90.00°
Space group Fddd (No. 70, origin choice 2)
Unique sites:
Na: 0.125 0.125 0.268
Th: 0.125 0.125 0.625
As: 0.125 0.125 0.446
O: 0.050 0.340 0.994
O: 0.077 0.021 0.389

Peak list (12 most intense, 10 to 80 degrees two-theta, by intensity)
2theta	I (rel.)	(hkl)
15.05	100	1 1 1
28.74	65	0 4 0
28.07	38	1 1 5
25.28	28	1 3 1
32.40	25	0 2 6
34.81	25	1 3 5
48.74	23	2 4 6
38.55	21	2 0 6
45.77	20	3 1 5
50.53	10	3 3 5
61.73	9	4 2 6
59.12	9	3 5 5


No. 2
Structure and simulated XRD peak list of NaTiAsO5 (the PBE geometry in the Materials Project; λ = 1.5418 Å (Cu Kα)).

a = 6.839 Å, b = 8.910 Å, c = 7.308 Å
α = 90.00°, β = 114.96°, γ = 90.00°
Space group P2_1/c (No. 14)
Unique sites:
Na: 0.249 0.075 0.238
Ti: 0.251 0.743 0.980
As: 0.250 0.067 0.749
O: 0.055 0.183 0.583
O: 0.151 0.541 0.387
O: 0.251 0.686 0.752
O: 0.355 0.539 0.115
O: 0.438 0.188 0.912

Peak list (12 most intense, 10 to 80 degrees two-theta, by intensity)
2theta	I (rel.)	(hkl)
26.54	100	1 1 -2
28.80	94	2 0 0
33.46	89	1 3 0
17.93	87	1 1 -1
33.72	61	0 2 2
25.50	49	1 1 1
54.06	35	3 3 0
24.07	35	0 2 1
60.09	25	1 3 -4
52.38	24	2 2 2
33.05	23	2 2 -1
38.48	22	1 3 1


No. 3
Structure and simulated XRD peak list of Na4TiAs2O9 (the PBE geometry in the Materials Project; λ = 1.5418 Å (Cu Kα)).

a = 16.118 Å, b = 7.266 Å, c = 7.858 Å
α = 90.00°, β = 90.26°, γ = 90.00°
Space group C2/m (No. 12)
Unique sites:
Na: 0.000 0.245 0.000
Na: 0.107 0.500 0.238
Na: 0.126 0.000 0.721
Na: 0.250 0.250 0.500
Ti: 0.250 0.250 0.000
As: 0.112 0.000 0.240
As: 0.129 0.500 0.724
O: 0.008 0.000 0.216
O: 0.035 0.500 0.817
O: 0.141 0.500 0.510
O: 0.144 0.198 0.129
O: 0.156 0.000 0.437
O: 0.182 0.300 0.789
O: 0.242 0.500 0.070

Peak list (12 most intense, 10 to 80 degrees two-theta, by intensity)
2theta	I (rel.)	(hkl)
17.51	100	1 1 -1
33.60	73	0 2 2
33.20	72	4 2 0
23.51	55	3 1 1
31.88	43	4 0 2
31.74	42	4 0 -2
11.26	34	0 0 1
10.98	33	2 0 0
50.23	26	0 4 0
24.79	26	4 0 -1
25.26	25	2 0 2
60.69	25	4 4 2


No. 4
Structure and simulated XRD peak list of NaZr2As3O12 (the PBE geometry in the Materials Project; λ = 1.5418 Å (Cu Kα)).

a = 9.3398 Å, b = 9.3398 Å, c = 23.4778 Å
α = 90.00°, β = 90.00°, γ = 120.00°
Space group R-3c (No. 167, hexagonal axes)
Unique sites:
Na: 0.0000 0.0000 0.0000
Zr: 0.0000 0.0000 0.1432
As: 0.0000 0.2909 0.2500
O: 0.0140 0.1935 0.1904
O: 0.0233 0.1839 0.9162

Peak list (12 most intense, 10 to 80 degrees two-theta, by intensity)
2theta	I (rel.)	(hkl)
22.17	100	1 1 3
29.79	48	1 1 6
33.23	34	3 0 0
26.77	27	0 2 4
18.68	23	1 0 4
19.00	19	1 1 0
45.22	17	2 2 6
29.46	14	2 1 1
13.29	14	0 1 2
39.57	13	1 1 9
33.04	12	2 1 4
57.26	10	1 4 6


No. 5
Structure and simulated XRD peak list of Na2SbAs (the PBE geometry in the Materials Project; λ = 1.5418 Å (Cu Kα)).

a = 6.624 Å, b = 6.152 Å, c = 12.175 Å
α = 90.00°, β = 117.16°, γ = 90.00°
Space group P2_1/c (No. 14)
Unique sites:
Na: 0.228 0.109 0.331
Na: 0.228 0.664 0.532
Sb: 0.316 0.606 0.292
As: 0.301 0.160 0.611

Peak list (12 most intense, 10 to 80 degrees two-theta, by intensity)
2theta	I (rel.)	(hkl)
21.88	100	1 1 -2
19.74	79	1 1 -1
16.38	65	0 0 2
41.55	65	2 2 -3
30.33	62	2 0 0
32.83	48	1 1 -4
29.34	48	1 0 -4
24.87	47	1 1 1
38.44	44	0 2 3
35.60	43	1 2 1
15.03	41	1 0 0
43.72	34	2 1 2


No. 6
Structure and simulated XRD peak list of Na5SnAs3 (the PBE geometry in the Materials Project; λ = 1.5418 Å (Cu Kα)).

a = 8.634 Å, b = 7.699 Å, c = 16.176 Å
α = 90.00°, β = 121.77°, γ = 90.00°
Space group P2_1/c (No. 14)
Unique sites:
Na: 0.007 0.160 0.083
Na: 0.093 0.005 0.759
Na: 0.252 0.524 0.086
Na: 0.314 0.641 0.743
Na: 0.411 0.041 0.089
Sn: 0.340 0.147 0.410
As: 0.060 0.231 0.917
As: 0.331 0.706 0.929
As: 0.363 0.248 0.261

Peak list (12 most intense, 10 to 80 degrees two-theta, by intensity)
2theta	I (rel.)	(hkl)
12.13	100	1 0 -2
39.31	69	0 0 6
32.03	59	1 2 2
32.14	56	1 2 -4
37.02	56	3 0 -6
23.11	52	0 2 0
36.74	50	3 0 0
36.53	48	1 3 -1
21.88	45	1 0 2
15.42	44	1 1 -1
16.69	43	1 1 0
40.91	41	2 3 -2


No. 7
Structure and simulated XRD peak list of NaSr2Sn6As6 (the PBE geometry in the Materials Project; λ = 1.5418 Å (Cu Kα)).

a = 7.246 Å, b = 12.549 Å, c = 9.521 Å
α = 90.00°, β = 104.76°, γ = 90.00°
Space group C2/m (No. 12)
Unique sites:
Na: 0.000 0.000 0.000
Sr: 0.000 0.333 0.000
Sn: 0.208 0.333 0.627
Sn: 0.210 0.000 0.627
As: 0.092 0.166 0.777
As: 0.094 0.500 0.778

Peak list (12 most intense, 10 to 80 degrees two-theta, by intensity)
2theta	I (rel.)	(hkl)
29.48	100	2 0 1
43.26	38	0 6 0
41.09	34	1 3 3
70.91	17	5 3 0
53.23	13	2 6 1
67.80	11	3 3 4
77.88	7	4 6 2
61.17	7	2 6 -4
79.34	7	6 0 -2
53.20	6	4 0 -3
52.84	6	1 3 -5
52.98	6	3 3 -4